# Pm2TlI2
Theoretical XRD peak list, CuKα. Input: a crystal structure in Alexandria, relaxed with GGA-PBE.
Neutral-atom scattering factors, no anomalous dispersion.

Top 10 peaks for 5 to 70 degrees two-theta, in order of rising 2θ:
hkl 0 0 3, 7.24 deg, d 12.214, intensity 68
hkl 0 1 5, 27.00 deg, d 3.302, intensity 100
hkl 0 1 8, 31.08 deg, d 2.878, intensity 36
hkl 1 0 10, 34.45 deg, d 2.603, intensity 25
hkl 1 0 13, 40.23 deg, d 2.242, intensity 36
hkl 1 1 0, 42.32 deg, d 2.135, intensity 38
hkl 2 0 5, 50.93 deg, d 1.793, intensity 18
hkl 0 2 13, 59.81 deg, d 1.546, intensity 11
hkl 1 1 18, 63.10 deg, d 1.473, intensity 23
hkl 1 2 5, 68.31 deg, d 1.373, intensity 15

Atomic structure:
abc: 4.2709 4.2709 36.6409
angles: 90.00 90.00 120.00
Space group R-3m (No. 166, hexagonal axes)
Unique sites:
Pm (0.0000, 0.0000, 0.1114) [6 per cell]
Tl (0.0000, 0.0000, 0.5000) [3 per cell]
I (0.0000, 0.0000, 0.2773) [6 per cell]